Structure and theoretical powder XRD pattern of Ba2W2F11 (a crystal structure in Alexandria, relaxed with PBE+U; Cu Kα X-rays).
Peak positions follow from Bragg's law for the DFT cell and can differ from measured ones.

Cell and atoms:
Cell lengths 8.4657, 8.4657, 13.8849 Å; angles 90.00, 90.00, 120.00 degrees
Space group P3_2 (No. 145)
Inequivalent atoms, fractional coordinates:
Ba  0.1042  0.0773  0.0000 [3 per cell]
Ba  0.5046  0.0173  0.4950 [3 per cell]
W  0.2040  0.7841  0.7496 [3 per cell]
W  0.4653  0.3855  0.2366 [3 per cell]
F  0.0010  0.7902  0.1524 [3 per cell]
F  0.0119  0.2340  0.3366 [3 per cell]
F  0.0245  0.5062  0.4328 [3 per cell]
F  0.0868  0.3634  0.0324 [3 per cell]
F  0.1413  0.8370  0.8760 [3 per cell]
F  0.2126  0.1835  0.1856 [3 per cell]
F  0.2161  0.6944  0.6117 [3 per cell]
F  0.2317  0.5778  0.7898 [3 per cell]
F  0.3701  0.2951  0.3834 [3 per cell]
F  0.4322  0.1472  0.9671 [3 per cell]
F  0.6246  0.2798  0.1893 [3 per cell]

Peak list (10 most intense, 2θ from 10° to 90°, by angle)
hkl 1 0 1, 2θ 13.7, d = 6.483 Å, intensity 83; hkl 0 1 2, 2θ 17.6, d = 5.041 Å, intensity 44; hkl 2 -1 1, 2θ 22.0, d = 4.049 Å, intensity 32; hkl 0 1 3, 2θ 22.7, d = 3.914 Å, intensity 68; hkl 2 0 0, 2θ 24.3, d = 3.666 Å, intensity 26; hkl 1 1 2, 2θ 24.6, d = 3.614 Å, intensity 100; hkl 2 0 1, 2θ 25.1, d = 3.544 Å, intensity 48; hkl 1 2 1, 2θ 33.0, d = 2.717 Å, intensity 26; hkl 0 1 5, 2θ 34.5, d = 2.597 Å, intensity 39; hkl 2 1 3, 2θ 37.8, d = 2.377 Å, intensity 30